For LaRe2AgO8, a crystal structure in Alexandria, relaxed with PBE gives the simulated powder diffraction line list in this record (a wavelength of 1.5418 Å).
Neutral-atom scattering factors, no anomalous dispersion.

Top 10 peaks for 5 to 70 degrees two-theta, low angle first:
d/Å, I/Imax
4.352, 1000
3.326, 812
2.877, 486
2.176, 271
2.068, 366
1.920, 166
1.821, 234
1.663, 180
1.553, 197
1.486, 165

abc: 6.652 6.652 6.642
angles: 90.00 90.00 120.00
Positions (direct):
La  0.000  0.000  0.000
Re  0.333  0.667  0.256
Re  0.667  0.333  0.744
Ag  0.000  0.000  0.500
O  0.185  0.373  0.175
O  0.188  0.815  0.175
O  0.333  0.667  0.518
O  0.373  0.188  0.825
O  0.627  0.812  0.175
O  0.667  0.333  0.482
O  0.812  0.185  0.825
O  0.815  0.627  0.825

=====

For LaTiAgO4, a crystal structure in Alexandria, relaxed with PBE gives the simulated powder diffraction line list in this record (a wavelength of 1.5418 Å).
Neutral-atom scattering factors, no anomalous dispersion.

Top 10 peaks for 5 to 70 degrees two-theta, low angle first:
d/Å, I/Imax
3.607, 134
2.897, 1000
2.643, 565
2.467, 115
2.292, 178
2.095, 148
1.869, 284
1.732, 196
1.571, 317
1.448, 135

abc: 3.738 3.738 13.751
angles: 90.00 90.00 90.00
Positions (direct):
La  0.250  0.250  0.106
La  0.750  0.750  0.894
Ti  0.250  0.250  0.729
Ti  0.750  0.750  0.271
Ag  0.250  0.250  0.428
Ag  0.750  0.750  0.572
O  0.250  0.250  0.599
O  0.250  0.250  0.933
O  0.250  0.750  0.231
O  0.250  0.750  0.769
O  0.750  0.250  0.231
O  0.750  0.250  0.769
O  0.750  0.750  0.067
O  0.750  0.750  0.401

=====

For LaPaAg, a crystal structure in Alexandria, relaxed with PBE gives the simulated powder diffraction line list in this record (a wavelength of 1.5418 Å).
Neutral-atom scattering factors, no anomalous dispersion.

Top 10 peaks for 5 to 70 degrees two-theta, low angle first:
d/Å, I/Imax
7.180, 152
3.753, 113
3.590, 145
2.782, 1000
2.542, 959
2.075, 199
1.877, 318
1.795, 108
1.510, 313
1.467, 507

abc: 5.084 5.084 7.180
angles: 90.00 90.00 120.00
Positions (direct):
La  0.000  0.000  0.233
La  0.000  0.000  0.767
Pa  0.333  0.667  0.500
Pa  0.667  0.333  0.500
Ag  0.333  0.667  0.000
Ag  0.667  0.333  0.000

=====

For LaAgPb, a crystal structure in Alexandria, relaxed with PBE gives the simulated powder diffraction line list in this record (a wavelength of 1.5418 Å).
Neutral-atom scattering factors, no anomalous dispersion.

Top 10 peaks for 5 to 70 degrees two-theta, low angle first:
d/Å, I/Imax
7.445, 96
3.722, 157
3.388, 308
3.083, 226
2.505, 1000
2.395, 488
2.014, 124
1.694, 169
1.470, 141
1.403, 350

abc: 4.791 4.791 7.445
angles: 90.00 90.00 90.00
Positions (direct):
La  0.250  0.250  0.203
La  0.750  0.750  0.797
Ag  0.250  0.750  0.500
Ag  0.750  0.250  0.500
Pb  0.250  0.250  0.752
Pb  0.750  0.750  0.248

=====

For LaAgPb3, a crystal structure in Alexandria, relaxed with PBE gives the simulated powder diffraction line list in this record (a wavelength of 1.5418 Å).
Neutral-atom scattering factors, no anomalous dispersion.

Top 10 peaks for 5 to 70 degrees two-theta, low angle first:
d/Å, I/Imax
5.499, 219
3.175, 1000
2.750, 950
2.459, 123
1.944, 704
1.833, 64
1.658, 477
1.587, 246
1.525, 28
1.375, 115

abc: 5.499 5.499 5.499
angles: 90.00 90.00 90.00
Positions (direct):
La  0.000  0.000  0.000
Ag  0.500  0.500  0.500
Pb  0.000  0.500  0.500
Pb  0.500  0.000  0.500
Pb  0.500  0.500  0.000

=====

For La12AgPb3, a crystal structure in Alexandria, relaxed with PBE gives the simulated powder diffraction line list in this record (a wavelength of 1.5418 Å).
Neutral-atom scattering factors, no anomalous dispersion.

Top 10 peaks for 5 to 70 degrees two-theta, low angle first:
d/Å, I/Imax
5.101, 10
3.556, 11
2.918, 1000
2.550, 349
2.483, 159
1.803, 125
1.779, 232
1.534, 291
1.504, 128
1.459, 121

abc: 5.101 5.101 19.865
angles: 90.00 90.00 90.00
Positions (direct):
La  0.000  0.000  0.000
La  0.000  0.000  0.245
La  0.000  0.000  0.500
La  0.000  0.000  0.755
La  0.000  0.500  0.121
La  0.000  0.500  0.373
La  0.000  0.500  0.627
La  0.000  0.500  0.879
La  0.500  0.000  0.121
La  0.500  0.000  0.373
La  0.500  0.000  0.627
La  0.500  0.000  0.879
Ag  0.500  0.500  0.000
Pb  0.500  0.500  0.245
Pb  0.500  0.500  0.500
Pb  0.500  0.500  0.755

=====

For LaAgPb, a crystal structure in Alexandria, relaxed with PBE gives the simulated powder diffraction line list in this record (a wavelength of 1.5418 Å).
Neutral-atom scattering factors, no anomalous dispersion.

Top 10 peaks for 5 to 70 degrees two-theta, low angle first:
d/Å, I/Imax
4.348, 96
3.780, 117
2.853, 1000
2.510, 777
2.091, 146
1.890, 112
1.885, 303
1.510, 322
1.507, 294
1.449, 140

abc: 5.021 5.021 3.780
angles: 90.00 90.00 120.00
Positions (direct):
La  0.000  0.000  0.000
Ag  0.333  0.667  0.501
Pb  0.667  0.333  0.499

=====

For LaAgPdPb, a crystal structure in Alexandria, relaxed with PBE gives the simulated powder diffraction line list in this record (a wavelength of 1.5418 Å).
Neutral-atom scattering factors, no anomalous dispersion.

Top 10 peaks for 5 to 70 degrees two-theta, low angle first:
d/Å, I/Imax
4.163, 31
3.605, 54
2.549, 1000
2.174, 20
2.081, 18
1.803, 177
1.654, 9
1.612, 26
1.472, 362
1.388, 7

abc: 5.099 5.099 5.099
angles: 60.00 60.00 60.00
Positions (direct):
La  0.000  0.000  0.000
Ag  0.250  0.250  0.250
Pd  0.750  0.750  0.750
Pb  0.500  0.500  0.500

=====

For La2AgSbPb, a crystal structure in Alexandria, relaxed with PBE gives the simulated powder diffraction line list in this record (a wavelength of 1.5418 Å).
Neutral-atom scattering factors, no anomalous dispersion.

Top 10 peaks for 5 to 70 degrees two-theta, low angle first:
d/Å, I/Imax
6.035, 378
3.424, 1000
3.018, 831
2.869, 363
2.134, 314
2.079, 581
1.811, 332
1.745, 147
1.712, 315
1.350, 268

abc: 6.035 6.035 5.738
angles: 90.00 90.00 90.00
Positions (direct):
La  0.000  0.500  0.000
La  0.500  0.000  0.000
Ag  0.000  0.000  0.500
Sb  0.500  0.500  0.000
Pb  0.500  0.500  0.500

=====

For La2SmAg2Pb2, a crystal structure in Alexandria, relaxed with PBE gives the simulated powder diffraction line list in this record (a wavelength of 1.5418 Å).
Neutral-atom scattering factors, no anomalous dispersion.

Top 10 peaks for 5 to 70 degrees two-theta, low angle first:
d/Å, I/Imax
3.625, 70
2.891, 1000
2.678, 113
2.463, 767
1.875, 285
1.785, 140
1.492, 270
1.471, 92
1.445, 69
1.422, 137

abc: 9.604 9.604 9.604
angles: 29.72 29.72 29.72
Positions (direct):
La  0.139  0.139  0.139
La  0.861  0.861  0.861
Sm  0.000  0.000  0.000
Ag  0.428  0.428  0.428
Ag  0.572  0.572  0.572
Pb  0.271  0.271  0.271
Pb  0.729  0.729  0.729

=====

For La4AgPd, a crystal structure in Alexandria, relaxed with PBE gives the simulated powder diffraction line list in this record (a wavelength of 1.5418 Å).
Neutral-atom scattering factors, no anomalous dispersion.

Top 10 peaks for 5 to 70 degrees two-theta, low angle first:
d/Å, I/Imax
2.972, 1000
2.763, 307
2.644, 147
2.449, 455
2.365, 378
1.815, 238
1.747, 223
1.620, 183
1.549, 244
1.389, 102

abc: 7.480 7.480 6.480
angles: 90.00 90.00 90.00
Positions (direct):
La  0.160  0.323  0.000
La  0.160  0.677  0.500
La  0.323  0.160  0.500
La  0.323  0.840  0.000
La  0.677  0.160  0.000
La  0.677  0.840  0.500
La  0.840  0.323  0.500
La  0.840  0.677  0.000
Ag  0.500  0.500  0.250
Ag  0.500  0.500  0.750
Pd  0.000  0.000  0.250
Pd  0.000  0.000  0.750